The following is a simulated X-ray diffraction stick pattern of MnAg2GeTe4. It was derived from DFT lattice parameters and positions (PBE), using a wavelength of 1.5418 Å.
No peak broadening, texture or thermal motion is included.

Cell and atoms:
a = 7.8200 Å, b = 7.8200 Å, c = 7.8200 Å
α = 132.71°, β = 132.71°, γ = 69.11°
Positions (direct):
Mn 0.0000 0.0000 0.0000
Ag 0.2500 0.7500 0.5000
Ag 0.7500 0.2500 0.5000
Ge 0.5000 0.5000 0.0000
Te 0.1323 0.1323 0.5044
Te 0.3721 0.8677 0.0000
Te 0.6279 0.6279 0.4956
Te 0.8677 0.3721 0.0000

Main lines, most intense first (10 to 90 degrees two-theta):
d 3.653, rel. 100.0
d 2.247, rel. 51.1
d 1.896, rel. 31.3
d 2.218, rel. 24.8
d 1.932, rel. 16.2
d 1.286, rel. 16.2
d 1.457, rel. 12.6
d 1.303, rel. 8.2



The following is a simulated X-ray diffraction stick pattern of Si5Pb. It was derived from DFT lattice parameters and positions (PBE), using a wavelength of 1.5418 Å.
No peak broadening, texture or thermal motion is included.

Cell and atoms:
a = 4.1438 Å, b = 7.7768 Å, c = 7.7768 Å
α = 26.97°, β = 90.00°, γ = 90.00°
Positions (direct):
Si 0.0000 0.0000 0.0000
Si 0.0000 0.2351 0.2351
Si 0.0000 0.6120 0.6120
Si 0.5000 0.0967 0.0967
Si 0.5000 0.7121 0.7121
Pb 0.5000 0.3908 0.3908

Main lines, most intense first (10 to 90 degrees two-theta):
d 2.400, rel. 100.0
d 3.634, rel. 65.9
d 7.562, rel. 63.3
d 2.686, rel. 55.6
d 3.527, rel. 54.1
d 2.944, rel. 53.8
d 2.793, rel. 50.4
d 1.694, rel. 45.1



The following is a simulated X-ray diffraction stick pattern of Al3GaN4. It was derived from DFT lattice parameters and positions (PBE), using a wavelength of 1.5418 Å.
No peak broadening, texture or thermal motion is included.

Cell and atoms:
a = 6.2965 Å, b = 5.4529 Å, c = 5.0795 Å
α = 90.00°, β = 90.00°, γ = 90.00°
Positions (direct):
Al 0.0000 0.1688 0.9999
Al 0.2502 0.3339 0.5000
Al 0.2498 0.6661 0.0000
Al 0.5000 0.8312 0.4999
Al 0.7498 0.3339 0.5000
Al 0.7502 0.6661 0.0000
Ga 0.0000 0.8339 0.4994
Ga 0.5000 0.1661 0.9994
N 0.0000 0.1758 0.6237
N 0.0000 0.8351 0.1089
N 0.2440 0.3372 0.1239
N 0.2560 0.6628 0.6239
N 0.5000 0.1649 0.6089
N 0.5000 0.8242 0.1237
N 0.7440 0.6628 0.6239
N 0.7560 0.3372 0.1239

Main lines, most intense first (10 to 90 degrees two-theta):
d 2.402, rel. 100.0
d 2.726, rel. 71.5
d 2.540, rel. 49.1
d 1.574, rel. 45.7
d 1.438, rel. 43.5
d 1.338, rel. 35.2
d 1.858, rel. 27.4
d 3.953, rel. 21.4



The following is a simulated X-ray diffraction stick pattern of Ce3Dy2Ru2. It was derived from DFT lattice parameters and positions (PBE), using a wavelength of 1.5418 Å.
No peak broadening, texture or thermal motion is included.

Cell and atoms:
a = 6.0125 Å, b = 6.0125 Å, c = 8.6284 Å
α = 108.88°, β = 108.88°, γ = 36.74°
Positions (direct):
Ce 0.0000 0.0000 0.0000
Ce 0.1228 0.1228 0.4345
Ce 0.8772 0.8772 0.5655
Dy 0.3373 0.3373 0.1981
Dy 0.6627 0.6627 0.8019
Ru 0.3653 0.3653 0.7927
Ru 0.6347 0.6347 0.2073

Main lines, most intense first (10 to 90 degrees two-theta):
d 2.849, rel. 100.0
d 2.679, rel. 85.6
d 2.542, rel. 73.0
d 2.488, rel. 69.6
d 2.834, rel. 45.0
d 2.601, rel. 44.7
d 2.807, rel. 43.6
d 1.895, rel. 40.5



The following is a simulated X-ray diffraction stick pattern of BaNaFe2I8. It was derived from DFT lattice parameters and positions (PBE), using a wavelength of 1.5418 Å.
No peak broadening, texture or thermal motion is included.

Cell and atoms:
a = 7.4795 Å, b = 7.4795 Å, c = 10.6866 Å
α = 90.00°, β = 90.00°, γ = 120.00°
Positions (direct):
Ba 0.0000 0.0000 0.0000
Na 0.0000 0.0000 0.5000
Fe 0.3333 0.6667 0.7712
Fe 0.6667 0.3333 0.2288
I 0.0157 0.3188 0.7085
I 0.3031 0.9843 0.7085
I 0.3188 0.3031 0.2915
I 0.3333 0.6667 0.0115
I 0.6667 0.3333 0.9885
I 0.6812 0.6969 0.7085
I 0.6969 0.0157 0.2915
I 0.9843 0.6812 0.2915

Main lines, most intense first (10 to 90 degrees two-theta):
d 3.530, rel. 100.0
d 3.064, rel. 54.4
d 2.159, rel. 31.8
d 3.562, rel. 20.1
d 2.174, rel. 17.5
d 1.846, rel. 16.7
d 1.856, rel. 16.6
d 2.579, rel. 14.8



The following is a simulated X-ray diffraction stick pattern of BaAg2BO4. It was derived from DFT lattice parameters and positions (PBE), using a wavelength of 1.5418 Å.
No peak broadening, texture or thermal motion is included.

Cell and atoms:
a = 5.2316 Å, b = 5.2316 Å, c = 5.2316 Å
α = 114.14°, β = 113.82°, γ = 100.79°
Positions (direct):
Ba 0.0000 0.0000 0.0000
Ag 0.2546 0.7546 0.5000
Ag 0.7454 0.2454 0.5000
B 0.5000 0.5000 0.0000
O 0.2196 0.5301 0.0000
O 0.4699 0.4699 0.6895
O 0.5301 0.2196 0.0000
O 0.7804 0.7804 0.3105

Main lines, most intense first (10 to 90 degrees two-theta):
d 2.570, rel. 100.0
d 2.856, rel. 28.7
d 2.844, rel. 28.4
d 2.015, rel. 24.7
d 4.333, rel. 24.4
d 2.381, rel. 22.7
d 1.588, rel. 21.4
d 1.584, rel. 21.2



The following is a simulated X-ray diffraction stick pattern of Ba2CuTcO6. It was derived from DFT lattice parameters and positions (PBE), using a wavelength of 1.5418 Å.
No peak broadening, texture or thermal motion is included.

Cell and atoms:
a = 10.1340 Å, b = 10.1340 Å, c = 10.1340 Å
α = 33.66°, β = 33.66°, γ = 33.66°
Positions (direct):
Ba 0.1276 0.1276 0.1276
Ba 0.2799 0.2799 0.2799
Ba 0.7201 0.7201 0.7201
Ba 0.8724 0.8724 0.8724
Cu 0.3965 0.3965 0.3965
Cu 0.6035 0.6035 0.6035
Tc 0.0000 0.0000 0.0000
Tc 0.5000 0.5000 0.5000
O 0.1527 0.6155 0.6155
O 0.1927 0.1927 0.7331
O 0.1927 0.7331 0.1927
O 0.2669 0.8073 0.8073
O 0.3845 0.3845 0.8473
O 0.3845 0.8473 0.3845
O 0.6155 0.1527 0.6155
O 0.6155 0.6155 0.1527
O 0.7331 0.1927 0.1927
O 0.8073 0.2669 0.8073
O 0.8073 0.8073 0.2669
O 0.8473 0.3845 0.3845

Main lines, most intense first (10 to 90 degrees two-theta):
d 2.932, rel. 100.0
d 3.187, rel. 27.9
d 1.693, rel. 26.1
d 2.159, rel. 23.5
d 2.072, rel. 13.5
d 1.467, rel. 13.2
d 1.109, rel. 10.2
d 2.323, rel. 9.1



The following is a simulated X-ray diffraction stick pattern of TcCl. It was derived from DFT lattice parameters and positions (PBE), using a wavelength of 1.5418 Å.
No peak broadening, texture or thermal motion is included.

Cell and atoms:
a = 3.0373 Å, b = 3.0373 Å, c = 9.1215 Å
α = 90.00°, β = 90.00°, γ = 120.00°
Positions (direct):
Tc 0.3333 0.6667 0.1069
Tc 0.6667 0.3333 0.8931
Cl 0.3333 0.6667 0.6971
Cl 0.6667 0.3333 0.3029

Main lines, most intense first (10 to 90 degrees two-theta):
d 2.279, rel. 100.0
d 1.989, rel. 50.2
d 2.630, rel. 29.8
d 1.167, rel. 27.0
d 1.519, rel. 21.2
d 1.264, rel. 21.0
d 2.527, rel. 20.2
d 1.499, rel. 20.1



The following is a simulated X-ray diffraction stick pattern of Rb3PtO3. It was derived from DFT lattice parameters and positions (PBE), using a wavelength of 1.5418 Å.
No peak broadening, texture or thermal motion is included.

Cell and atoms:
a = 6.3464 Å, b = 6.3464 Å, c = 6.3464 Å
α = 112.19°, β = 112.19°, γ = 112.19°
Positions (direct):
Rb 0.0418 0.4791 0.4791
Rb 0.4791 0.0418 0.4791
Rb 0.4791 0.4791 0.0418
Pt 0.8329 0.8329 0.8329
O 0.6142 0.9331 0.9331
O 0.9331 0.6142 0.9331
O 0.9331 0.9331 0.6142

Main lines, most intense first (10 to 90 degrees two-theta):
d 3.495, rel. 100.0
d 2.634, rel. 58.8
d 2.912, rel. 50.3
d 4.671, rel. 35.4
d 2.606, rel. 35.2
d 5.267, rel. 29.7
d 1.658, rel. 28.5
d 2.103, rel. 22.3



The following is a simulated X-ray diffraction stick pattern of Ba2UNbO6. It was derived from DFT lattice parameters and positions (PBE), using a wavelength of 1.5418 Å.
No peak broadening, texture or thermal motion is included.

Cell and atoms:
a = 4.2991 Å, b = 4.2991 Å, c = 8.6437 Å
α = 90.00°, β = 90.00°, γ = 90.00°
Positions (direct):
Ba 0.0000 0.0000 0.2261
Ba 0.0000 0.0000 0.7739
U 0.5000 0.5000 0.5000
Nb 0.5000 0.5000 0.0000
O 0.0000 0.5000 0.0000
O 0.0000 0.5000 0.5000
O 0.5000 0.0000 0.0000
O 0.5000 0.0000 0.5000
O 0.5000 0.5000 0.2442
O 0.5000 0.5000 0.7558

Main lines, most intense first (10 to 90 degrees two-theta):
d 3.045, rel. 100.0
d 1.757, rel. 27.2
d 2.150, rel. 19.7
d 1.360, rel. 12.3
d 1.761, rel. 12.0
d 3.849, rel. 11.2
d 1.524, rel. 11.0
d 2.161, rel. 8.7